# 1
The following is a theoretical powder diffractogram of Li2FeP2O8. It was derived from the PBE+U geometry in the Materials Project, using Cu Kα X-rays.

Principal peaks in the range 2θ from 10° to 90°, by angle:
(0 1 1), 6.239 Å, I = 100.0; (0 3 1), 4.399 Å, I = 40.0; (1 2 0), 4.290 Å, I = 14.4; (1 1 1), 3.747 Å, I = 34.4; (1 2 -1), 3.711 Å, I = 70.5; (0 4 1), 3.667 Å, I = 51.9; (1 2 1), 3.514 Å, I = 57.1; (1 3 -1), 3.355 Å, I = 27.5; (1 2 -2), 2.714 Å, I = 20.2; (0 4 2), 2.656 Å, I = 56.1; (1 6 0), 2.514 Å, I = 44.7; (2 1 0), 2.435 Å, I = 20.7

Cell and atoms:
a b c (Å): 4.929 17.553 6.691
angles (deg): 90.00 93.93 90.00
Fractional coordinates of all 52 atoms:
Li: 0.021 0.000 0.039
Li: 0.032 0.670 0.727
Li: 0.441 0.254 0.074
Li: 0.474 0.440 0.728
Li: 0.526 0.940 0.272
Li: 0.559 0.754 0.926
Li: 0.968 0.170 0.273
Li: 0.979 0.500 0.961
Fe: 0.056 0.684 0.244
Fe: 0.451 0.427 0.269
Fe: 0.549 0.927 0.731
Fe: 0.944 0.184 0.756
P: 0.031 0.021 0.524
P: 0.079 0.842 0.970
P: 0.416 0.271 0.532
P: 0.473 0.092 0.978
P: 0.527 0.592 0.022
P: 0.584 0.771 0.468
P: 0.921 0.342 0.030
P: 0.969 0.521 0.476
O: 0.031 0.109 0.537
O: 0.112 0.500 0.682
O: 0.113 0.487 0.296
O: 0.138 0.756 0.011
O: 0.167 0.117 0.971
O: 0.185 0.896 0.140
O: 0.231 0.356 0.069
O: 0.239 0.860 0.784
O: 0.273 0.248 0.722
O: 0.279 0.747 0.445
O: 0.288 0.235 0.339
O: 0.327 0.990 0.528
O: 0.383 0.624 0.830
O: 0.386 0.624 0.204
O: 0.393 0.359 0.512
O: 0.479 0.003 0.971
O: 0.521 0.503 0.029
O: 0.607 0.859 0.488
O: 0.614 0.124 0.796
O: 0.617 0.124 0.170
O: 0.673 0.490 0.472
O: 0.712 0.735 0.661
O: 0.721 0.247 0.555
O: 0.727 0.748 0.278
O: 0.761 0.360 0.216
O: 0.769 0.856 0.931
O: 0.815 0.396 0.860
O: 0.833 0.617 0.029
O: 0.862 0.256 0.989
O: 0.887 0.987 0.704
O: 0.888 0.000 0.318
O: 0.969 0.609 0.463

***

# 2
The following is a theoretical powder diffractogram of LiFeP2O7. It was derived from the PBE+U geometry in the Materials Project, using Cu Kα X-rays.

Principal peaks in the range 2θ from 10° to 90°, by angle:
(0 1 1), 6.900 Å, I = 28.5; (0 1 2), 5.149 Å, I = 41.8; (1 0 0), 4.804 Å, I = 100.0; (1 0 -2), 4.726 Å, I = 97.1; (0 2 1), 3.855 Å, I = 46.7; (0 2 2), 3.450 Å, I = 45.9; (1 0 2), 3.401 Å, I = 50.2; (1 1 -4), 3.068 Å, I = 42.7; (1 1 3), 2.671 Å, I = 25.3; (0 3 1), 2.631 Å, I = 41.5; (2 0 -2), 2.546 Å, I = 46.5; (1 3 1), 2.246 Å, I = 30.2

Cell and atoms:
a b c (Å): 5.099 8.051 14.220
angles (deg): 90.00 109.60 90.00
Fractional coordinates of all 44 atoms:
Li: 0.044 0.221 0.253
Li: 0.044 0.279 0.753
Li: 0.956 0.721 0.247
Li: 0.956 0.779 0.747
Fe: 0.311 0.652 0.617
Fe: 0.311 0.848 0.117
Fe: 0.689 0.152 0.883
Fe: 0.689 0.348 0.383
P: 0.322 0.207 0.024
P: 0.322 0.293 0.524
P: 0.434 0.034 0.679
P: 0.434 0.466 0.179
P: 0.566 0.534 0.821
P: 0.566 0.966 0.321
P: 0.678 0.707 0.476
P: 0.678 0.793 0.976
O: 0.079 0.210 0.924
O: 0.079 0.290 0.424
O: 0.202 0.043 0.722
O: 0.202 0.457 0.222
O: 0.271 0.091 0.101
O: 0.271 0.409 0.601
O: 0.311 0.636 0.759
O: 0.311 0.864 0.259
O: 0.330 0.108 0.566
O: 0.330 0.392 0.066
O: 0.401 0.672 0.492
O: 0.401 0.828 0.992
O: 0.469 0.142 0.337
O: 0.469 0.358 0.837
O: 0.531 0.642 0.163
O: 0.531 0.858 0.663
O: 0.599 0.172 0.008
O: 0.599 0.328 0.508
O: 0.670 0.608 0.934
O: 0.670 0.892 0.434
O: 0.689 0.136 0.741
O: 0.689 0.364 0.241
O: 0.729 0.591 0.399
O: 0.729 0.909 0.899
O: 0.798 0.543 0.778
O: 0.798 0.957 0.278
O: 0.921 0.710 0.576
O: 0.921 0.790 0.076

***

# 3
The following is a theoretical powder diffractogram of LiFe2P5O16. It was derived from the PBE+U geometry in the Materials Project, using Cu Kα X-rays.

Principal peaks in the range 2θ from 10° to 90°, by angle:
(1 0 0), 7.021 Å, I = 36.2; (0 1 1), 6.742 Å, I = 20.3; (1 1 -1), 5.644 Å, I = 100.0; (0 0 2), 4.811 Å, I = 29.4; (0 1 2), 4.287 Å, I = 9.6; (1 2 -1), 3.923 Å, I = 13.0; (1 2 1), 3.397 Å, I = 11.3; (2 1 0), 3.293 Å, I = 16.2; (1 1 2), 3.223 Å, I = 10.5; (0 1 3), 3.037 Å, I = 24.6; (2 2 -1), 2.950 Å, I = 21.1; (1 3 -2), 2.650 Å, I = 10.1

Cell and atoms:
a b c (Å): 7.555 9.449 10.355
angles (deg): 90.00 111.68 90.00
Fractional coordinates of all 48 atoms:
Li: 0.000 0.200 0.000
Li: 0.000 0.800 0.500
Fe: 0.380 0.141 0.787
Fe: 0.380 0.859 0.287
Fe: 0.936 0.369 0.394
Fe: 0.936 0.631 0.894
P: 0.125 0.417 0.728
P: 0.125 0.583 0.228
P: 0.284 0.126 0.452
P: 0.284 0.874 0.952
P: 0.521 0.458 0.765
P: 0.521 0.542 0.265
P: 0.575 0.295 0.126
P: 0.575 0.705 0.626
P: 0.621 0.138 0.383
P: 0.621 0.862 0.883
O: 0.013 0.466 0.814
O: 0.013 0.534 0.314
O: 0.048 0.465 0.577
O: 0.048 0.535 0.077
O: 0.153 0.257 0.747
O: 0.153 0.743 0.247
O: 0.159 0.256 0.405
O: 0.159 0.744 0.905
O: 0.234 0.011 0.340
O: 0.234 0.989 0.840
O: 0.298 0.065 0.593
O: 0.298 0.935 0.093
O: 0.334 0.494 0.797
O: 0.334 0.506 0.297
O: 0.475 0.232 0.986
O: 0.475 0.768 0.486
O: 0.488 0.452 0.124
O: 0.488 0.548 0.624
O: 0.500 0.180 0.473
O: 0.500 0.820 0.973
O: 0.501 0.214 0.235
O: 0.501 0.786 0.735
O: 0.523 0.302 0.734
O: 0.523 0.698 0.234
O: 0.620 0.020 0.859
O: 0.620 0.980 0.359
O: 0.690 0.480 0.380
O: 0.690 0.520 0.880
O: 0.790 0.298 0.185
O: 0.790 0.702 0.685
O: 0.817 0.200 0.450
O: 0.817 0.800 0.950